This entry pairs a crystal structure of Ni5Ir with its simulated powder XRD pattern. Radiation: Cu Kα, 1.54184 Å. Structure: a cell relaxed with GGA-PBE.
Kinematic intensities with the Lorentz-polarization factor, no thermal factor.

Structural model:
a b c (Å): 4.1430 2.5881 13.0701
angles (deg): 90.00 90.00 90.00
Space group Amm2 (No. 38)
Unique sites:
1 Ni 0.0000 0.0000 0.0000 [2 per cell]
2 Ni 0.0000 0.0000 0.3267 [2 per cell]
3 Ni 0.0000 0.0000 0.6623 [2 per cell]
4 Ni 0.5000 0.0000 0.2150 [2 per cell]
5 Ni 0.5000 0.0000 0.5535 [2 per cell]
6 Ir 0.5000 0.0000 0.8844 [2 per cell]

Principal peaks in the range 2θ from 10° to 90°, by intensity:
| Position (°2θ) | Rel. int. | h k l |
| --- | --- | --- |
| 46.32 | 100 | 1 1 3 |
| 47.14 | 46 | 1 0 6 |
| 43.70 | 39 | 2 0 0 |
| 13.55 | 33 | 0 0 2 |
| 40.54 | 28 | 0 1 3 |
| 25.46 | 19 | 1 0 2 |
| 61.14 | 19 | 2 1 3 |
| 82.14 | 18 | 3 1 3 |
| 74.99 | 14 | 0 1 9 |
| 21.45 | 14 | 1 0 0 |